1.
The following is a computed powder diffractogram of ErSnIr. It was derived from a structure optimized by DFT (GGA-PBE), using copper Kα.
Peak positions follow from Bragg's law for the DFT cell and can differ from measured ones.

Atomic structure:
Unit cell a=7.4841 b=7.4841 c=3.9147 alpha=90.00 beta=90.00 gamma=120.00
Atoms (fractional coordinates):
1 Er 0.0000 0.5928 0.0000
2 Er 0.4072 0.4072 0.0000
3 Er 0.5928 0.0000 0.0000
4 Sn 0.0000 0.2591 0.5000
5 Sn 0.2591 0.0000 0.5000
6 Sn 0.7409 0.7409 0.5000
7 Ir 0.0000 0.0000 0.0000
8 Ir 0.3333 0.6667 0.5000
9 Ir 0.6667 0.3333 0.5000

Top 10 peaks for 10° ≤ 2θ ≤ 90°, by angle:
2θ (°), d [Å], intensity
23.78, 3.742, 12
33.12, 2.705, 83
35.98, 2.496, 100
36.68, 2.450, 34
41.81, 2.160, 48
43.58, 2.077, 37
46.39, 1.957, 27
60.55, 1.529, 16
64.21, 1.451, 27
67.37, 1.390, 35

***

2.
The following is a computed powder diffractogram of MnAl12Fe. It was derived from a structure optimized by DFT (GGA-PBE), using copper Kα.
Peak positions follow from Bragg's law for the DFT cell and can differ from measured ones.

Atomic structure:
Unit cell a=8.7312 b=4.9692 c=4.9692 alpha=98.36 beta=90.00 gamma=90.00
Atoms (fractional coordinates):
1 Mn 0.0000 0.0000 0.0000
2 Al 0.0000 0.4903 0.8527
3 Al 0.0000 0.8527 0.4903
4 Al 0.1506 0.3177 0.3177
5 Al 0.2520 0.1366 0.7874
6 Al 0.2520 0.7874 0.1366
7 Al 0.3491 0.6043 0.6043
8 Al 0.5000 0.0657 0.4286
9 Al 0.5000 0.4286 0.0657
10 Al 0.6509 0.6043 0.6043
11 Al 0.7480 0.1366 0.7874
12 Al 0.7480 0.7874 0.1366
13 Al 0.8494 0.3177 0.3177
14 Fe 0.5000 0.9180 0.9180

Top 10 peaks for 10° ≤ 2θ ≤ 90°, by angle:
2θ (°), d [Å], intensity
18.04, 4.916, 52
27.32, 3.264, 29
39.90, 2.259, 62
41.36, 2.183, 26
41.67, 2.168, 36
42.19, 2.142, 88
43.49, 2.081, 50
43.92, 2.062, 100
44.77, 2.024, 27
45.46, 1.995, 53

***

3.
The following is a computed powder diffractogram of Ag2BiO3. It was derived from a structure optimized by DFT (GGA-PBE), using copper Kα.
Peak positions follow from Bragg's law for the DFT cell and can differ from measured ones.

Atomic structure:
Unit cell a=6.1351 b=6.3325 c=9.8493 alpha=90.00 beta=90.00 gamma=90.00
Atoms (fractional coordinates):
1 Ag 0.0000 0.0000 0.0000
2 Ag 0.0000 0.5000 0.5000
3 Ag 0.2223 0.2500 0.2500
4 Ag 0.2777 0.7500 0.2500
5 Ag 0.5000 0.0000 0.0000
6 Ag 0.5000 0.5000 0.5000
7 Ag 0.7223 0.2500 0.7500
8 Ag 0.7777 0.7500 0.7500
9 Bi 0.2500 0.0000 0.6041
10 Bi 0.2500 0.5000 0.8959
11 Bi 0.7500 0.0000 0.3959
12 Bi 0.7500 0.5000 0.1041
13 O 0.0649 0.6826 0.0620
14 O 0.0649 0.8174 0.4380
15 O 0.1452 0.7500 0.7500
16 O 0.3548 0.2500 0.7500
17 O 0.4351 0.1826 0.4380
18 O 0.4351 0.3174 0.0620
19 O 0.5649 0.6826 0.9380
20 O 0.5649 0.8174 0.5620
21 O 0.6452 0.7500 0.2500
22 O 0.8548 0.2500 0.2500
23 O 0.9351 0.1826 0.5620
24 O 0.9351 0.3174 0.9380

Top 10 peaks for 10° ≤ 2θ ≤ 90°, by angle:
2θ (°), d [Å], intensity
27.16, 3.284, 59
30.67, 2.915, 20
30.89, 2.895, 43
33.11, 2.705, 48
33.69, 2.660, 100
34.45, 2.604, 15
48.39, 1.881, 17
49.26, 1.850, 14
53.51, 1.712, 21
56.01, 1.642, 35

***

4.
The following is a computed powder diffractogram of Mg7Si4. It was derived from a structure optimized by DFT (GGA-PBE), using copper Kα.
Peak positions follow from Bragg's law for the DFT cell and can differ from measured ones.

Atomic structure:
Unit cell a=5.4359 b=6.2024 c=13.3098 alpha=85.90 beta=80.05 gamma=87.74
Atoms (fractional coordinates):
1 Mg 0.0000 0.0000 0.0000
2 Mg 0.0086 0.2449 0.7722
3 Mg 0.0227 0.7513 0.8004
4 Mg 0.1170 0.4800 0.0057
5 Mg 0.2313 0.4502 0.2635
6 Mg 0.2639 0.9464 0.3148
7 Mg 0.3088 0.9345 0.5838
8 Mg 0.4408 0.4056 0.6105
9 Mg 0.4834 0.0313 0.8325
10 Mg 0.5180 0.5488 0.8019
11 Mg 0.7413 0.7159 0.4217
12 Mg 0.7624 0.6992 0.1889
13 Mg 0.7766 0.1897 0.2386
14 Mg 0.9112 0.2127 0.4780
15 Si 0.2309 0.6076 0.4567
16 Si 0.2982 0.7850 0.1184
17 Si 0.3702 0.1649 0.1124
18 Si 0.4419 0.2564 0.4236
19 Si 0.6456 0.6973 0.9820
20 Si 0.6678 0.3126 0.9626
21 Si 0.7734 0.9229 0.6489
22 Si 0.9147 0.5486 0.6169

Top 10 peaks for 10° ≤ 2θ ≤ 90°, by angle:
2θ (°), d [Å], intensity
33.93, 2.642, 95
34.43, 2.605, 75
34.49, 2.600, 63
34.76, 2.580, 68
35.37, 2.538, 88
36.26, 2.477, 100
36.43, 2.467, 78
36.72, 2.448, 54
39.72, 2.269, 47
41.43, 2.180, 93

***

5.
The following is a computed powder diffractogram of BeRu2W. It was derived from a structure optimized by DFT (GGA-PBE), using copper Kα.
Peak positions follow from Bragg's law for the DFT cell and can differ from measured ones.

Atomic structure:
Unit cell a=5.9924 b=5.9924 c=5.9924 alpha=90.00 beta=90.00 gamma=90.00
Atoms (fractional coordinates):
1 Be 0.0000 0.0000 0.0000
2 Be 0.0000 0.5000 0.5000
3 Be 0.5000 0.0000 0.5000
4 Be 0.5000 0.5000 0.0000
5 Ru 0.2500 0.2500 0.2500
6 Ru 0.2500 0.2500 0.7500
7 Ru 0.2500 0.7500 0.2500
8 Ru 0.2500 0.7500 0.7500
9 Ru 0.7500 0.2500 0.2500
10 Ru 0.7500 0.2500 0.7500
11 Ru 0.7500 0.7500 0.2500
12 Ru 0.7500 0.7500 0.7500
13 W 0.0000 0.0000 0.5000
14 W 0.0000 0.5000 0.0000
15 W 0.5000 0.0000 0.0000
16 W 0.5000 0.5000 0.5000

Top 7 peaks for 10° ≤ 2θ ≤ 90°, by angle:
2θ (°), d [Å], intensity
25.75, 3.460, 50
42.68, 2.119, 100
50.51, 1.807, 25
61.94, 1.498, 16
68.22, 1.375, 10
78.14, 1.223, 34
83.90, 1.153, 8

***

6.
The following is a computed powder diffractogram of V11FeB8. It was derived from a structure optimized by DFT (GGA-PBE), using copper Kα.
Peak positions follow from Bragg's law for the DFT cell and can differ from measured ones.

Atomic structure:
Unit cell a=5.6974 b=3.0294 c=11.3734 alpha=90.00 beta=90.05 gamma=90.00
Atoms (fractional coordinates):
1 V 0.0000 0.0000 0.0000
2 V 0.1776 0.5000 0.3407
3 V 0.1778 0.5000 0.8377
4 V 0.3218 0.5000 0.0895
5 V 0.3231 0.5000 0.5881
6 V 0.5001 0.0000 0.2515
7 V 0.4999 0.0000 0.7485
8 V 0.6769 0.5000 0.4119
9 V 0.6782 0.5000 0.9105
10 V 0.8222 0.5000 0.1623
11 V 0.8224 0.5000 0.6593
12 Fe 0.0000 0.0000 0.5000
13 B 0.1098 0.0000 0.6909
14 B 0.1113 0.0000 0.1964
15 B 0.3862 0.0000 0.4451
16 B 0.3890 0.0000 0.9444
17 B 0.6110 0.0000 0.0556
18 B 0.6138 0.0000 0.5549
19 B 0.8887 0.0000 0.8036
20 B 0.8902 0.0000 0.3091

Top 10 peaks for 10° ≤ 2θ ≤ 90°, by angle:
2θ (°), d [Å], intensity
22.09, 4.025, 12
35.26, 2.546, 52
37.15, 2.420, 47
43.64, 2.074, 100
45.05, 2.012, 27
46.60, 1.949, 77
50.70, 1.801, 35
61.19, 1.515, 17
77.87, 1.227, 23
83.39, 1.159, 19